For PrAl4Pd2, a DFT-relaxed cell (GGA-PBE, Alexandria) gives the theoretical powder diffractogram in this record (Cu Kα X-rays).

```
PrAl4Pd2
1.0
17.5347 0.0000 0.0000
0.0000 4.3733 0.0000
0.0000 0.0000 6.6682
Pr Al Pd
4 16 8
Direct
0.1369 0.2500 0.0100
0.3631 0.7500 0.5100
0.6369 0.2500 0.4900
0.8631 0.7500 0.9900
0.0360 0.7500 0.8181
0.0733 0.2500 0.4953
0.1863 0.7500 0.3225
0.1944 0.7500 0.7227
0.3056 0.2500 0.2227
0.3137 0.2500 0.8225
0.4267 0.7500 0.9953
0.4640 0.2500 0.3181
0.5360 0.7500 0.6819
0.5733 0.2500 0.0047
0.6863 0.7500 0.1775
0.6944 0.7500 0.7773
0.8056 0.2500 0.2773
0.8137 0.2500 0.6775
0.9267 0.7500 0.5047
0.9640 0.2500 0.1819
0.0369 0.7500 0.2515
0.2167 0.2500 0.5249
0.2833 0.7500 0.0249
0.4631 0.2500 0.7515
0.5369 0.7500 0.2485
0.7167 0.2500 0.9751
0.7833 0.7500 0.4751
0.9631 0.2500 0.7485
```

Principal peaks in the range 2θ = 10–90°, low angle first:
2theta, Rel. int., index
22.72, 13.9, 2 1 0
24.32, 14.5, 0 1 1
28.64, 22.1, 2 0 2
28.80, 48.2, 4 1 0
35.40, 100.0, 2 1 2
37.00, 12.2, 6 1 0
38.39, 23.5, 7 0 1
41.29, 27.1, 0 2 0
48.50, 11.3, 3 1 3
51.05, 14.2, 2 2 2
57.64, 14.2, 7 2 1
71.46, 12.6, 2 3 2